HoMgSn6: simulated powder diffraction line list (Cu Ka), based on a crystal structure in Alexandria, relaxed with GGA-PBE.
Intensities are scaled so that the largest is 100.

Atomic structure:
abc: 6.684 6.684 4.615
angles: 90.00 90.00 90.00
Atoms (fractional coordinates):
Ho  0.000  0.000  0.000
Mg  0.500  0.500  0.000
Sn  0.000  0.500  0.000
Sn  0.261  0.261  0.500
Sn  0.261  0.739  0.500
Sn  0.500  0.000  0.000
Sn  0.739  0.261  0.500
Sn  0.739  0.739  0.500

Top 6 peaks for 2θ = 5–70°, by angle:
Position (°2θ)  I/Imax  h k l
33.09  100  2 0 1
38.08  34  2 2 0
39.04  16  0 0 2
55.67  23  2 2 2
65.66  28  4 2 1
66.97  14  2 0 3